Record 1
For PmZnSi, a DFT-relaxed cell (PBE, Alexandria) gives the computed X-ray diffraction stick pattern in this record (Cu Ka).

Structural model:
Cell lengths 4.1636, 4.1636, 8.3717 Å; angles 90.00, 90.00, 120.00 degrees
Space group P6_3/mmc (No. 194)
Symmetry-distinct sites (fractional):
Pm1 0.0000 0.0000 0.0000 x2
Zn1 0.3333 0.6667 0.2500 x2
Si1 0.3333 0.6667 0.7500 x2

Top 8 peaks for 2θ = 5–70°, sorted by position:
- hkl 1 0 0, d = 3.606 Å, 2θ 24.69, I 24
- hkl 1 0 1, d = 3.312 Å, 2θ 26.92, I 6
- hkl 1 0 2, d = 2.732 Å, 2θ 32.78, I 100
- hkl 0 0 4, d = 2.093 Å, 2θ 43.23, I 12
- hkl 1 1 0, d = 2.082 Å, 2θ 43.47, I 36
- hkl 1 0 4, d = 1.810 Å, 2θ 50.42, I 7
- hkl 2 0 2, d = 1.656 Å, 2θ 55.50, I 22
- hkl 1 1 4, d = 1.476 Å, 2θ 62.98, I 23


Record 2
For RbTh4Ag3Te12, a DFT-relaxed cell (PBE, Alexandria) gives the computed X-ray diffraction stick pattern in this record (Cu Ka).

Structural model:
Cell lengths 11.4332, 11.4332, 11.4332 Å; angles 90.00, 90.00, 90.00 degrees
Space group Im-3 (No. 204)
Symmetry-distinct sites (fractional):
Rb1 0.0000 0.0000 0.0000 x2
Th1 0.2500 0.2500 0.2500 x8
Ag1 0.0000 0.0000 0.5000 x6
Te1 0.0000 0.1650 0.3185 x24

Top 8 peaks for 2θ = 5–70°, sorted by position:
- hkl 2 2 0, d = 4.042 Å, 2θ 21.99, I 61
- hkl 3 1 0, d = 3.615 Å, 2θ 24.62, I 61
- hkl 3 2 1, d = 3.056 Å, 2θ 29.23, I 34
- hkl 4 0 0, d = 2.858 Å, 2θ 31.29, I 34
- hkl 4 0 2, d = 2.557 Å, 2θ 35.10, I 32
- hkl 4 2 2, d = 2.334 Å, 2θ 38.58, I 100
- hkl 5 0 3, d = 1.961 Å, 2θ 46.30, I 27
- hkl 6 6 0, d = 1.347 Å, 2θ 69.80, I 42